(1)
Computed powder diffractogram of Mg2Ga for Cu Kα (weighted mean of Kα1 and Kα2), from a DFT-relaxed cell (PBE, Alexandria).
Neutral-atom scattering factors, no anomalous dispersion.

Largest 12 diffraction maxima, sorted by position, 15 to 90 degrees two-theta:
two_theta, d [Å], I (rel.)
22.94, 3.876, 95.7
28.73, 3.107, 58.8
34.50, 2.600, 53.4
35.37, 2.538, 13.7
37.08, 2.425, 90.9
40.30, 2.238, 100.0
44.05, 2.056, 72.5
46.88, 1.938, 18.2
52.19, 1.753, 15.8
63.50, 1.465, 19.1
66.28, 1.410, 37.7
67.93, 1.380, 29.7

Cell and atoms:
Cell lengths 7.7527, 7.7527, 7.0109 Å; angles 90.00, 90.00, 120.00 degrees
Fractional positions:
Mg 0.0000 0.2768 0.0000
Mg 0.0000 0.2768 0.5000
Mg 0.0212 0.6271 0.2500
Mg 0.2768 0.0000 0.0000
Mg 0.2768 0.0000 0.5000
Mg 0.3729 0.3941 0.2500
Mg 0.3941 0.3729 0.7500
Mg 0.6059 0.9788 0.2500
Mg 0.6271 0.0212 0.7500
Mg 0.7232 0.7232 0.0000
Mg 0.7232 0.7232 0.5000
Mg 0.9788 0.6059 0.7500
Ga 0.0000 0.0000 0.2500
Ga 0.0000 0.0000 0.7500
Ga 0.3333 0.6667 0.5320
Ga 0.3333 0.6667 0.9680
Ga 0.6667 0.3333 0.0320
Ga 0.6667 0.3333 0.4680

---

(2)
Computed powder diffractogram of MgGa for Cu Kα (weighted mean of Kα1 and Kα2), from a DFT-relaxed cell (PBE, Alexandria).
Neutral-atom scattering factors, no anomalous dispersion.

Largest 12 diffraction maxima, sorted by position, 15 to 90 degrees two-theta:
two_theta, d [Å], I (rel.)
18.30, 4.847, 34.4
24.83, 3.586, 13.6
33.52, 2.673, 22.2
33.63, 2.665, 47.7
34.42, 2.606, 28.8
38.47, 2.340, 100.0
40.91, 2.206, 48.0
48.89, 1.863, 20.8
63.36, 1.468, 19.5
65.13, 1.432, 23.9
75.05, 1.266, 14.9
75.36, 1.261, 15.9

Cell and atoms:
Cell lengths 3.0904, 5.3298, 4.8466 Å; angles 90.00, 90.00, 90.00 degrees
Fractional positions:
Mg 0.2500 0.2500 0.1017
Mg 0.7500 0.7500 0.8983
Ga 0.2500 0.7500 0.4060
Ga 0.7500 0.2500 0.5940

---

(3)
Computed powder diffractogram of Mg15Ga for Cu Kα (weighted mean of Kα1 and Kα2), from a DFT-relaxed cell (PBE, Alexandria).
Neutral-atom scattering factors, no anomalous dispersion.

Largest 12 diffraction maxima, sorted by position, 15 to 90 degrees two-theta:
two_theta, d [Å], I (rel.)
16.08, 5.511, 5.9
18.30, 4.848, 8.6
23.78, 3.742, 4.2
32.49, 2.756, 24.8
35.22, 2.548, 25.5
37.09, 2.424, 100.0
48.67, 1.871, 15.3
57.96, 1.591, 17.2
64.43, 1.446, 18.2
69.67, 1.350, 19.0
70.84, 1.330, 13.6
79.00, 1.212, 3.3

Cell and atoms:
Cell lengths 6.3641, 6.3641, 10.1924 Å; angles 90.00, 90.00, 120.00 degrees
Fractional positions:
Mg 0.0000 0.0000 0.0000
Mg 0.0044 0.5022 0.5000
Mg 0.3304 0.1652 0.2556
Mg 0.3304 0.1652 0.7444
Mg 0.3333 0.6667 0.2496
Mg 0.3333 0.6667 0.7504
Mg 0.4978 0.5022 0.5000
Mg 0.4978 0.9956 0.5000
Mg 0.5008 0.0017 0.0000
Mg 0.5008 0.4992 0.0000
Mg 0.8348 0.1652 0.2556
Mg 0.8348 0.1652 0.7444
Mg 0.8348 0.6696 0.2556
Mg 0.8348 0.6696 0.7444
Mg 0.9983 0.4992 0.0000
Ga 0.0000 0.0000 0.5000

---

(4)
Computed powder diffractogram of Mg2Ga for Cu Kα (weighted mean of Kα1 and Kα2), from a DFT-relaxed cell (PBE, Alexandria).
Neutral-atom scattering factors, no anomalous dispersion.

Largest 12 diffraction maxima, sorted by position, 15 to 90 degrees two-theta:
two_theta, d [Å], I (rel.)
18.22, 4.870, 27.7
32.81, 2.730, 31.9
33.66, 2.663, 16.6
36.91, 2.435, 33.4
37.78, 2.381, 100.0
38.53, 2.336, 44.7
50.21, 1.817, 18.7
59.65, 1.550, 15.5
67.08, 1.395, 17.3
70.78, 1.331, 10.6
71.84, 1.314, 14.0
72.25, 1.308, 17.0

Cell and atoms:
Cell lengths 4.8703, 8.1454, 8.1454 Å; angles 22.51, 90.00, 90.00 degrees
Fractional positions:
Mg 0.0000 0.0000 0.0000
Mg 0.0000 0.3279 0.3279
Mg 0.0000 0.6647 0.6647
Mg 0.5000 0.8839 0.8839
Ga 0.5000 0.2161 0.2161
Ga 0.5000 0.5530 0.5530

---

(5)
Computed powder diffractogram of Mg3Ga4 for Cu Kα (weighted mean of Kα1 and Kα2), from a DFT-relaxed cell (PBE, Alexandria).
Neutral-atom scattering factors, no anomalous dispersion.

Largest 12 diffraction maxima, sorted by position, 15 to 90 degrees two-theta:
two_theta, d [Å], I (rel.)
22.36, 3.976, 27.7
24.45, 3.640, 13.8
29.74, 3.004, 13.8
36.37, 2.470, 100.0
37.06, 2.426, 95.2
41.53, 2.175, 68.6
44.85, 2.021, 38.4
59.23, 1.560, 11.5
61.12, 1.516, 10.5
62.75, 1.481, 38.6
71.96, 1.312, 25.7
73.25, 1.292, 23.9

Cell and atoms:
Cell lengths 11.2091, 11.2091, 11.2091 Å; angles 164.45, 159.22, 26.06 degrees
Fractional positions:
Mg 0.0000 0.0000 0.0000
Mg 0.1432 0.1432 0.0000
Mg 0.8568 0.8568 0.0000
Ga 0.2837 0.2837 0.0000
Ga 0.4286 0.4286 0.0000
Ga 0.5714 0.5714 0.0000
Ga 0.7163 0.7163 0.0000

---

(6)
Computed powder diffractogram of MgGa2 for Cu Kα (weighted mean of Kα1 and Kα2), from a DFT-relaxed cell (PBE, Alexandria).
Neutral-atom scattering factors, no anomalous dispersion.

Largest 12 diffraction maxima, sorted by position, 15 to 90 degrees two-theta:
two_theta, d [Å], I (rel.)
17.42, 5.092, 23.3
23.24, 3.828, 47.6
26.47, 3.367, 57.7
33.51, 2.674, 38.6
35.25, 2.546, 31.6
35.51, 2.528, 90.5
40.38, 2.234, 100.0
41.06, 2.198, 56.0
41.88, 2.157, 38.1
48.93, 1.862, 53.6
51.38, 1.778, 27.3
60.10, 1.539, 25.4

Cell and atoms:
Cell lengths 5.5952, 5.5952, 5.5952 Å; angles 133.74, 106.00, 91.89 degrees
Fractional positions:
Mg 0.3051 0.0551 0.2500
Mg 0.6949 0.9449 0.7500
Ga 0.1153 0.6612 0.4541
Ga 0.2929 0.3388 0.9541
Ga 0.7071 0.6612 0.0459
Ga 0.8847 0.3388 0.5459

---

(7)
Computed powder diffractogram of MgMnGaMo for Cu Kα (weighted mean of Kα1 and Kα2), from a DFT-relaxed cell (PBE, Alexandria).
Neutral-atom scattering factors, no anomalous dispersion.

Largest 10 diffraction maxima, sorted by position, 15 to 90 degrees two-theta:
two_theta, d [Å], I (rel.)
25.33, 3.516, 6.5
29.33, 3.045, 16.7
41.96, 2.153, 100.0
49.65, 1.836, 2.7
52.02, 1.758, 4.5
60.85, 1.522, 15.8
66.99, 1.397, 1.0
68.97, 1.362, 6.0
76.66, 1.243, 31.3
82.27, 1.172, 0.8

Cell and atoms:
Cell lengths 4.3059, 4.3059, 4.3059 Å; angles 60.00, 60.00, 60.00 degrees
Fractional positions:
Mg 0.0000 0.0000 0.0000
Mn 0.5000 0.5000 0.5000
Ga 0.2500 0.2500 0.2500
Mo 0.7500 0.7500 0.7500

---

(8)
Computed powder diffractogram of MgMnGaSiS for Cu Kα (weighted mean of Kα1 and Kα2), from a DFT-relaxed cell (PBE, Alexandria).
Neutral-atom scattering factors, no anomalous dispersion.

Largest 12 diffraction maxima, sorted by position, 15 to 90 degrees two-theta:
two_theta, d [Å], I (rel.)
26.15, 3.408, 85.0
28.18, 3.166, 23.2
31.98, 2.799, 24.7
35.05, 2.560, 36.0
42.31, 2.136, 64.0
45.35, 2.000, 100.0
46.36, 1.959, 54.4
47.69, 1.907, 24.3
54.25, 1.691, 19.9
63.74, 1.460, 17.5
66.86, 1.399, 17.1
84.50, 1.147, 17.8

Cell and atoms:
Cell lengths 6.7405, 6.7405, 6.7405 Å; angles 34.52, 34.52, 34.52 degrees
Fractional positions:
Mg 0.0000 0.0000 0.0000
Mn 0.5763 0.5763 0.5763
Ga 0.8401 0.8401 0.8401
Si 0.2279 0.2279 0.2279
S 0.7076 0.7076 0.7076

---

(9)
Computed powder diffractogram of MgMnGaSiS for Cu Kα (weighted mean of Kα1 and Kα2), from a DFT-relaxed cell (PBE, Alexandria).
Neutral-atom scattering factors, no anomalous dispersion.

Largest 12 diffraction maxima, sorted by position, 15 to 90 degrees two-theta:
two_theta, d [Å], I (rel.)
25.93, 3.437, 55.9
28.44, 3.138, 43.2
31.89, 2.806, 46.7
35.02, 2.562, 27.9
42.40, 2.132, 38.2
44.92, 2.018, 100.0
46.51, 1.952, 43.1
47.31, 1.921, 28.0
54.02, 1.697, 38.5
55.42, 1.658, 11.7
60.19, 1.537, 10.7
66.65, 1.403, 13.8

Cell and atoms:
Cell lengths 4.0347, 4.0347, 6.6985 Å; angles 107.60, 107.60, 60.07 degrees
Fractional positions:
Mg 0.0000 0.0000 0.0000
Mn 0.4961 0.4961 0.4943
Ga 0.7757 0.7757 0.3338
Si 0.1574 0.1574 0.4787
S 0.6205 0.6205 0.8628

---

(10)
Computed powder diffractogram of MgMnGaSiS for Cu Kα (weighted mean of Kα1 and Kα2), from a DFT-relaxed cell (PBE, Alexandria).
Neutral-atom scattering factors, no anomalous dispersion.

Largest 12 diffraction maxima, sorted by position, 15 to 90 degrees two-theta:
two_theta, d [Å], I (rel.)
27.07, 3.294, 29.3
29.33, 3.045, 50.4
29.55, 3.023, 35.2
35.42, 2.534, 24.9
35.90, 2.502, 22.1
36.08, 2.489, 26.3
40.34, 2.236, 55.1
44.99, 2.015, 30.7
45.14, 2.009, 20.9
45.53, 1.992, 100.0
55.29, 1.661, 20.4
55.79, 1.648, 25.2

Cell and atoms:
Cell lengths 3.2942, 3.3229, 7.6025 Å; angles 90.00, 90.00, 90.00 degrees
Fractional positions:
Mg 0.0000 0.0000 0.0000
Mn 0.0000 0.0000 0.6427
Ga 0.0000 0.5000 0.3961
Si 0.5000 0.5000 0.7039
S 0.5000 0.5000 0.1451

---

(11)
Computed powder diffractogram of MgMnGaSiS for Cu Kα (weighted mean of Kα1 and Kα2), from a DFT-relaxed cell (PBE, Alexandria).
Neutral-atom scattering factors, no anomalous dispersion.

Largest 12 diffraction maxima, sorted by position, 15 to 90 degrees two-theta:
two_theta, d [Å], I (rel.)
25.90, 3.440, 72.6
29.08, 3.071, 74.4
33.20, 2.698, 56.5
37.67, 2.388, 100.0
40.88, 2.207, 19.8
40.99, 2.202, 21.7
46.85, 1.939, 46.7
47.01, 1.933, 77.3
51.95, 1.760, 25.5
55.35, 1.660, 19.9
60.64, 1.527, 16.6
63.05, 1.474, 15.9

Cell and atoms:
Cell lengths 3.3198, 3.5205, 8.2833 Å; angles 77.78, 89.74, 90.00 degrees
Fractional positions:
Mg 0.0000 0.0000 0.0000
Mn 0.4951 0.3204 0.3636
Ga 0.9614 0.1721 0.6606
Si 0.9925 0.7871 0.4304
S 0.4983 0.4624 0.0763

---

(12)
Computed powder diffractogram of MgMnGaSiS for Cu Kα (weighted mean of Kα1 and Kα2), from a DFT-relaxed cell (PBE, Alexandria).
Neutral-atom scattering factors, no anomalous dispersion.

Largest 12 diffraction maxima, sorted by position, 15 to 90 degrees two-theta:
two_theta, d [Å], I (rel.)
25.63, 3.476, 30.9
29.21, 3.058, 55.4
31.93, 2.803, 55.9
35.23, 2.548, 14.2
44.32, 2.044, 100.0
46.86, 1.939, 38.2
47.22, 1.925, 38.5
53.96, 1.699, 54.9
64.57, 1.443, 15.9
66.76, 1.401, 12.9
81.57, 1.180, 15.4
83.68, 1.156, 13.5

Cell and atoms:
Cell lengths 6.5550, 6.5550, 6.5550 Å; angles 36.34, 36.34, 36.34 degrees
Fractional positions:
Mg 0.0000 0.0000 0.0000
Mn 0.8490 0.8490 0.8490
Ga 0.5071 0.5071 0.5071
Si 0.2207 0.2207 0.2207
S 0.7230 0.7230 0.7230